Structure and calculated powder XRD pattern of ZnH20PdC4N4O12 (a structure optimized by DFT (GGA-PBE); CuKα).
Intensities are scaled so that the largest is 100.

Crystal structure
```
data_ZnH20PdC4N4O12
_chemical_formula_sum 'Zn1 H20 Pd1 C4 N4 O12'
_space_group_name_H-M_alt 'P 1'
_space_group_IT_number 1
_space_group_name_Hall 'P 1'
_cell_length_a 9.2078
_cell_length_b 9.2078
_cell_length_c 9.2078
_cell_angle_alpha 133.32
_cell_angle_beta 131.13
_cell_angle_gamma 69.89
loop_
_atom_site_label
_atom_site_type_symbol
_atom_site_fract_x
_atom_site_fract_y
_atom_site_fract_z
_atom_site_occupancy
Zn1 Zn 0.0000 0.0000 0.0000 1
H1 H 0.1309 0.3020 0.6160 1
H2 H 0.1358 0.5304 0.8452 1
H3 H 0.2020 0.3510 0.8670 1
H4 H 0.3021 0.9473 0.3572 1
H5 H 0.3106 0.9195 0.6080 1
H6 H 0.3116 0.7027 0.3920 1
H7 H 0.3140 0.6980 0.8289 1
H8 H 0.3148 0.4696 0.6054 1
H9 H 0.4099 0.0527 0.3549 1
H10 H 0.4840 0.3350 0.1330 1
H11 H 0.5160 0.6490 0.8510 1
H12 H 0.5901 0.9449 0.6428 1
H13 H 0.6852 0.2906 0.1548 1
H14 H 0.6860 0.5149 0.3840 1
H15 H 0.6884 0.0805 0.3911 1
H16 H 0.6894 0.2973 0.6089 1
H17 H 0.6979 0.0551 0.6451 1
H18 H 0.7980 0.6650 0.1490 1
H19 H 0.8642 0.7094 0.3946 1
H20 H 0.8691 0.4851 0.1711 1
Pd1 Pd 0.5000 0.5000 0.0000 1
C1 C 0.1809 0.2899 0.1070 1
C2 C 0.1829 0.0740 0.8930 1
C3 C 0.8171 0.7101 0.8911 1
C4 C 0.8191 0.9260 0.1089 1
N1 N 0.2089 0.4109 0.8093 1
N2 N 0.3984 0.5891 0.7980 1
N3 N 0.6016 0.3996 0.1907 1
N4 N 0.7911 0.6004 0.2020 1
O1 O 0.1036 0.2936 0.1848 1
O2 O 0.1088 0.9188 0.8152 1
O3 O 0.2555 0.4410 0.1843 1
O4 O 0.2567 0.0712 0.8157 1
O5 O 0.2816 0.0000 0.2816 1
O6 O 0.3512 0.8512 0.5000 1
O7 O 0.6488 0.1488 0.5000 1
O8 O 0.7184 0.0000 0.7184 1
O9 O 0.7433 0.5590 0.8145 1
O10 O 0.7445 0.9288 0.1855 1
O11 O 0.8912 0.7064 0.8100 1
O12 O 0.8964 0.0812 0.1900 1
```

Most intense lines, 2θ from 5° to 70°, most intense first:
2θ/deg, I_rel
16.83, 100
20.56, 41
23.36, 38
11.72, 37
27.15, 36
29.11, 29
40.74, 20
24.40, 20
31.92, 19
44.78, 17